This entry pairs a crystal structure of GaAs2O6 with its theoretical powder X-ray diffraction pattern. Radiation: CuKα. Structure: a crystal structure in Alexandria, relaxed with PBE.

Most intense lines, 15° ≤ 2θ ≤ 90°, by angle:
| Position (°2θ) | I_rel |
| --- | --- |
| 20.91 | 100 |
| 32.25 | 23 |
| 34.91 | 43 |
| 37.56 | 45 |
| 52.21 | 26 |
| 52.56 | 19 |
| 62.61 | 18 |
| 64.36 | 23 |

```
data_GaAs2O6
_space_group_name_H-M_alt 'R 3'
_space_group_IT_number 146
_space_group_name_Hall 'R 3'
_cell_length_a 5.1397
_cell_length_b 5.1397
_cell_length_c 14.2034
_cell_angle_alpha 90.00
_cell_angle_beta 90.00
_cell_angle_gamma 120.00
loop_
_atom_site_label
_atom_site_fract_x
_atom_site_fract_y
_atom_site_fract_z
Ga1 0.0000 0.0000 0.0000
As1 0.0000 0.0000 0.5992
As2 0.0000 0.0000 0.7950
O1 0.0193 0.7275 0.7130
O2 0.0675 0.3668 0.5494
```